For FeSi30Ge, DFT lattice parameters and positions (PBE) gives the calculated X-ray diffraction stick pattern in this record (Cu Kα (weighted mean of Kα1 and Kα2)).
Intensities are scaled so that the largest is 100.

Crystal structure
a = 8.6276 Å, b = 9.4472 Å, c = 9.4477 Å
α = 70.55°, β = 68.60°, γ = 68.58°
Fractional positions:
Fe  0.0000  0.0000  0.0000
Si  0.2357  0.8199  0.0623
Si  0.2437  0.5643  0.0653
Si  0.2443  0.8125  0.3140
Si  0.2450  0.0607  0.3169
Si  0.2450  0.0613  0.5677
Si  0.2446  0.3100  0.8158
Si  0.2453  0.3114  0.5657
Si  0.2451  0.5606  0.8165
Si  0.4924  0.1274  0.1266
Si  0.4938  0.8743  0.8788
Si  0.4953  0.1242  0.8773
Si  0.4949  0.3758  0.1277
Si  0.4948  0.6243  0.3778
Si  0.4950  0.6239  0.6283
Si  0.4952  0.8741  0.6285
Si  0.4956  0.3736  0.3785
Si  0.7464  0.1864  0.4421
Si  0.7455  0.4363  0.6908
Si  0.7456  0.6850  0.9404
Si  0.7470  0.1857  0.6931
Si  0.7467  0.4337  0.9408
Si  0.7467  0.6830  0.1897
Si  0.7471  0.9366  0.4436
Si  0.9953  0.4987  0.5035
Si  0.9958  0.2467  0.2522
Si  0.9963  0.4976  0.2526
Si  0.9958  0.7498  0.7554
Si  0.9965  0.2384  0.0025
Si  0.9966  0.7491  0.5042
Si  0.9967  0.9991  0.7632
Ge  0.7558  0.9393  0.1829

Main lines, sorted by position (10° ≤ 2θ ≤ 80°):
- 10.34 deg, d = 8.559 Å, rel. 5
- 28.33 deg, d = 3.150 Å, rel. 100
- 47.12 deg, d = 1.929 Å, rel. 67
- 55.90 deg, d = 1.645 Å, rel. 40
- 68.84 deg, d = 1.364 Å, rel. 11
- 76.04 deg, d = 1.252 Å, rel. 16


For Y4In20Ni11, DFT lattice parameters and positions (PBE) gives the calculated X-ray diffraction stick pattern in this record (Cu Kα (weighted mean of Kα1 and Kα2)).
Intensities are scaled so that the largest is 100.

Crystal structure
a = 11.5392 Å, b = 11.5392 Å, c = 16.6789 Å
α = 123.88°, β = 123.88°, γ = 21.67°
Fractional positions:
Y  0.1190  0.1190  0.3314
Y  0.2287  0.2287  0.8256
Y  0.7713  0.7713  0.1744
Y  0.8810  0.8810  0.6686
In  0.0102  0.0102  0.0954
In  0.0637  0.0637  0.7901
In  0.1147  0.1147  0.5513
In  0.2023  0.2023  0.0028
In  0.2466  0.2466  0.2906
In  0.2969  0.2969  0.4981
In  0.3718  0.3718  0.8039
In  0.3888  0.3888  0.3090
In  0.3982  0.3982  0.0085
In  0.4594  0.4594  0.6226
In  0.5406  0.5406  0.3774
In  0.6018  0.6018  0.9915
In  0.6112  0.6112  0.6910
In  0.6282  0.6282  0.1961
In  0.7031  0.7031  0.5019
In  0.7534  0.7534  0.7094
In  0.7978  0.7978  0.9972
In  0.8853  0.8853  0.4487
In  0.9363  0.9363  0.2099
In  0.9898  0.9898  0.9046
Ni  0.0224  0.0224  0.5998
Ni  0.1361  0.1361  0.1028
Ni  0.2530  0.2530  0.6168
Ni  0.3474  0.3474  0.1209
Ni  0.4936  0.4936  0.8057
Ni  0.5000  0.5000  0.5000
Ni  0.5064  0.5064  0.1943
Ni  0.6526  0.6526  0.8791
Ni  0.7470  0.7470  0.3832
Ni  0.8639  0.8639  0.8972
Ni  0.9776  0.9776  0.4002

Main lines, sorted by position (10° ≤ 2θ ≤ 80°):
- 34.35 deg, d = 2.610 Å, rel. 30
- 35.06 deg, d = 2.560 Å, rel. 100
- 35.29 deg, d = 2.543 Å, rel. 37
- 35.75 deg, d = 2.511 Å, rel. 44
- 41.63 deg, d = 2.170 Å, rel. 93
- 42.43 deg, d = 2.130 Å, rel. 33


For K3NaAs2Pd2, DFT lattice parameters and positions (PBE) gives the calculated X-ray diffraction stick pattern in this record (Cu Kα (weighted mean of Kα1 and Kα2)).
Intensities are scaled so that the largest is 100.

Crystal structure
a = 6.1420 Å, b = 5.8022 Å, c = 6.2986 Å
α = 90.00°, β = 105.54°, γ = 90.00°
Fractional positions:
K  0.0000  0.0000  0.0000
K  0.0621  0.5000  0.3508
K  0.6965  0.5000  0.6831
Na  0.3687  0.0000  0.6908
As  0.2595  0.5000  0.9054
As  0.7484  0.0000  0.4406
Pd  0.5401  0.2485  0.1423
Pd  0.5401  0.7515  0.1423

Main lines, sorted by position (10° ≤ 2θ ≤ 80°):
- 14.60 deg, d = 6.068 Å, rel. 63
- 14.97 deg, d = 5.918 Å, rel. 61
- 17.92 deg, d = 4.951 Å, rel. 100
- 29.84 deg, d = 2.994 Å, rel. 41
- 33.16 deg, d = 2.701 Å, rel. 44
- 39.21 deg, d = 2.298 Å, rel. 63


For HfMg, DFT lattice parameters and positions (PBE) gives the calculated X-ray diffraction stick pattern in this record (Cu Kα (weighted mean of Kα1 and Kα2)).
Intensities are scaled so that the largest is 100.

Crystal structure
a = 6.2809 Å, b = 5.0429 Å, c = 8.5818 Å
α = 90.00°, β = 101.07°, γ = 90.00°
Fractional positions:
Hf  0.0160  0.2500  0.0910
Hf  0.1924  0.2500  0.7818
Hf  0.4754  0.7500  0.9048
Hf  0.5246  0.2500  0.0952
Hf  0.8076  0.7500  0.2182
Hf  0.9840  0.7500  0.9090
Mg  0.1408  0.7500  0.5636
Mg  0.3125  0.7500  0.2289
Mg  0.3489  0.2500  0.4299
Mg  0.6511  0.7500  0.5701
Mg  0.6875  0.2500  0.7711
Mg  0.8592  0.2500  0.4364

Main lines, sorted by position (10° ≤ 2θ ≤ 80°):
- 10.50 deg, d = 8.422 Å, rel. 100
- 32.80 deg, d = 2.730 Å, rel. 12
- 35.61 deg, d = 2.521 Å, rel. 27
- 36.64 deg, d = 2.453 Å, rel. 43
- 37.22 deg, d = 2.415 Å, rel. 43
- 37.46 deg, d = 2.401 Å, rel. 28


For NaLaHgS3, DFT lattice parameters and positions (PBE) gives the calculated X-ray diffraction stick pattern in this record (Cu Kα (weighted mean of Kα1 and Kα2)).
Intensities are scaled so that the largest is 100.

Crystal structure
a = 9.0924 Å, b = 9.0924 Å, c = 8.6914 Å
α = 106.15°, β = 106.15°, γ = 26.44°
Fractional positions:
Na  0.1248  0.1248  0.0744
Na  0.8752  0.8752  0.9256
La  0.1750  0.1750  0.6098
La  0.8250  0.8250  0.3902
Hg  0.4844  0.4844  0.2792
Hg  0.5156  0.5156  0.7208
S  0.0000  0.0000  0.5000
S  0.3283  0.3283  0.1674
S  0.3369  0.3369  0.6281
S  0.5000  0.5000  0.0000
S  0.6631  0.6631  0.3719
S  0.6717  0.6717  0.8326

Main lines, sorted by position (10° ≤ 2θ ≤ 80°):
- 10.43 deg, d = 8.482 Å, rel. 42
- 10.62 deg, d = 8.329 Å, rel. 54
- 26.61 deg, d = 3.350 Å, rel. 63
- 29.75 deg, d = 3.003 Å, rel. 100
- 31.64 deg, d = 2.827 Å, rel. 42
- 38.09 deg, d = 2.363 Å, rel. 35


For NdTm2Al3Cu2Ni, DFT lattice parameters and positions (PBE) gives the calculated X-ray diffraction stick pattern in this record (Cu Kα (weighted mean of Kα1 and Kα2)).
Intensities are scaled so that the largest is 100.

Crystal structure
a = 3.9554 Å, b = 7.0919 Å, c = 7.0919 Å
α = 119.77°, β = 90.00°, γ = 90.00°
Fractional positions:
Nd  0.0000  0.0000  0.0000
Tm  0.0000  0.1738  0.5862
Tm  0.0000  0.5862  0.1738
Al  0.5000  0.3548  0.3548
Al  0.5000  0.5835  0.8175
Al  0.5000  0.8175  0.5835
Cu  0.5000  0.2544  0.9182
Cu  0.5000  0.9182  0.2544
Ni  0.0000  0.5835  0.5835

Main lines, sorted by position (10° ≤ 2θ ≤ 80°):
- 22.48 deg, d = 3.955 Å, rel. 26
- 25.08 deg, d = 3.550 Å, rel. 38
- 33.93 deg, d = 2.642 Å, rel. 100
- 37.03 deg, d = 2.428 Å, rel. 90
- 38.79 deg, d = 2.321 Å, rel. 21
- 45.89 deg, d = 1.978 Å, rel. 22


For TbLuIn2Ni4, DFT lattice parameters and positions (PBE) gives the calculated X-ray diffraction stick pattern in this record (Cu Kα (weighted mean of Kα1 and Kα2)).
Intensities are scaled so that the largest is 100.

Crystal structure
a = 3.9748 Å, b = 5.0811 Å, c = 6.9722 Å
α = 90.00°, β = 90.00°, γ = 90.00°
Fractional positions:
Tb  0.0000  0.0000  0.0000
Lu  0.0000  0.5000  0.4714
In  0.5000  0.0000  0.3774
In  0.5000  0.5000  0.0921
Ni  0.0000  0.0000  0.6176
Ni  0.0000  0.5000  0.8461
Ni  0.5000  0.2528  0.7293
Ni  0.5000  0.7472  0.7293

Main lines, sorted by position (10° ≤ 2θ ≤ 80°):
- 31.32 deg, d = 2.856 Å, rel. 100
- 34.21 deg, d = 2.621 Å, rel. 33
- 35.33 deg, d = 2.541 Å, rel. 32
- 38.67 deg, d = 2.328 Å, rel. 64
- 42.79 deg, d = 2.113 Å, rel. 33
- 45.65 deg, d = 1.987 Å, rel. 33


For Ta2Cd3Mo4C3, DFT lattice parameters and positions (PBE) gives the calculated X-ray diffraction stick pattern in this record (Cu Kα (weighted mean of Kα1 and Kα2)).
Intensities are scaled so that the largest is 100.

Crystal structure
a = 5.4011 Å, b = 5.4011 Å, c = 14.6868 Å
α = 100.57°, β = 100.57°, γ = 60.04°
Fractional positions:
Ta  0.0271  0.8576  0.5838
Ta  0.1424  0.9729  0.9162
Ta  0.8576  0.0271  0.0838
Ta  0.9729  0.1424  0.4162
Cd  0.0814  0.2678  0.7487
Cd  0.2678  0.0814  0.2487
Cd  0.4320  0.5680  0.7500
Cd  0.5680  0.4320  0.2500
Cd  0.7322  0.9186  0.7513
Cd  0.9186  0.7322  0.2513
Mo  0.1926  0.3638  0.0773
Mo  0.3122  0.4697  0.4227
Mo  0.3638  0.1926  0.5773
Mo  0.4697  0.3122  0.9227
Mo  0.5303  0.6878  0.0773
Mo  0.6362  0.8074  0.4227
Mo  0.6878  0.5303  0.5773
Mo  0.8074  0.6362  0.9227
C  0.0000  0.5000  0.5000
C  0.1641  0.6720  0.9998
C  0.3280  0.8359  0.5002
C  0.5000  0.0000  0.0000
C  0.6720  0.1641  0.4998
C  0.8359  0.3280  0.0002

Main lines, sorted by position (10° ≤ 2θ ≤ 80°):
- 33.17 deg, d = 2.701 Å, rel. 22
- 37.60 deg, d = 2.392 Å, rel. 22
- 38.27 deg, d = 2.352 Å, rel. 100
- 68.30 deg, d = 1.373 Å, rel. 17
- 72.33 deg, d = 1.306 Å, rel. 18
- 72.76 deg, d = 1.300 Å, rel. 14


Copy entry 8 word for word.
For Ta2Cd3Mo4C3, DFT lattice parameters and positions (PBE) gives the calculated X-ray diffraction stick pattern in this record (Cu Kα (weighted mean of Kα1 and Kα2)).
Intensities are scaled so that the largest is 100.

Crystal structure
a = 5.4011 Å, b = 5.4011 Å, c = 14.6868 Å
α = 100.57°, β = 100.57°, γ = 60.04°
Fractional positions:
Ta  0.0271  0.8576  0.5838
Ta  0.1424  0.9729  0.9162
Ta  0.8576  0.0271  0.0838
Ta  0.9729  0.1424  0.4162
Cd  0.0814  0.2678  0.7487
Cd  0.2678  0.0814  0.2487
Cd  0.4320  0.5680  0.7500
Cd  0.5680  0.4320  0.2500
Cd  0.7322  0.9186  0.7513
Cd  0.9186  0.7322  0.2513
Mo  0.1926  0.3638  0.0773
Mo  0.3122  0.4697  0.4227
Mo  0.3638  0.1926  0.5773
Mo  0.4697  0.3122  0.9227
Mo  0.5303  0.6878  0.0773
Mo  0.6362  0.8074  0.4227
Mo  0.6878  0.5303  0.5773
Mo  0.8074  0.6362  0.9227
C  0.0000  0.5000  0.5000
C  0.1641  0.6720  0.9998
C  0.3280  0.8359  0.5002
C  0.5000  0.0000  0.0000
C  0.6720  0.1641  0.4998
C  0.8359  0.3280  0.0002

Main lines, sorted by position (10° ≤ 2θ ≤ 80°):
- 33.17 deg, d = 2.701 Å, rel. 22
- 37.60 deg, d = 2.392 Å, rel. 22
- 38.27 deg, d = 2.352 Å, rel. 100
- 68.30 deg, d = 1.373 Å, rel. 17
- 72.33 deg, d = 1.306 Å, rel. 18
- 72.76 deg, d = 1.300 Å, rel. 14